No. 1
This entry pairs a crystal structure of HgAsS4 with its calculated powder diffraction line list. Radiation: Cu Kα. Structure: a DFT-relaxed cell (PBE, Alexandria).
Kinematic intensities with the Lorentz-polarization factor, no thermal factor.

Main lines, sorted by position (2θ from 5° to 70°):
- d = 11.076 Å, intensity 12.5, (0 2 0)
- d = 5.873 Å, intensity 100.0, (0 2 1)
- d = 3.983 Å, intensity 33.2, (1 3 0)
- d = 3.464 Å, intensity 17.9, (0 0 2)
- d = 3.237 Å, intensity 56.1, (1 3 1)
- d = 3.085 Å, intensity 18.7, (1 5 -1)
- d = 2.845 Å, intensity 19.8, (1 3 -2)
- d = 2.226 Å, intensity 12.3, (1 5 2)
- d = 2.163 Å, intensity 17.6, (0 8 2)
- d = 2.110 Å, intensity 11.9, (0 10 1)

Structural model:
a = 4.8158 Å, b = 22.1524 Å, c = 7.0520 Å
α = 90.00°, β = 100.79°, γ = 90.00°
Space group C2/c (No. 15)
Symmetry-distinct sites (fractional):
1 Hg 0.0000 0.1272 0.2500 (multiplicity 4)
2 As 0.0000 0.4968 0.2500 (multiplicity 4)
3 S 0.1512 0.2793 0.6744 (multiplicity 8)
4 S 0.2311 0.4386 0.9675 (multiplicity 8)

---

No. 2
This entry pairs a crystal structure of Sn5Pb3Cl16 with its calculated powder diffraction line list. Radiation: Cu Kα. Structure: a DFT-relaxed cell (PBE, Alexandria).
Kinematic intensities with the Lorentz-polarization factor, no thermal factor.

Main lines, sorted by position (2θ from 5° to 70°):
- d = 6.552 Å, intensity 38.3, (1 1 -1)
- d = 6.436 Å, intensity 48.7, (2 0 1)
- d = 6.358 Å, intensity 57.7, (1 1 1)
- d = 6.260 Å, intensity 100.0, (0 0 2)
- d = 3.640 Å, intensity 47.3, (2 2 -1)
- d = 3.573 Å, intensity 42.7, (2 2 1)
- d = 3.537 Å, intensity 58.4, (3 1 2)
- d = 2.843 Å, intensity 44.7, (2 2 -3)
- d = 2.749 Å, intensity 45.6, (2 2 3)
- d = 2.230 Å, intensity 63.2, (6 2 0)

Structural model:
a = 15.6944 Å, b = 8.5877 Å, c = 12.5523 Å
α = 90.00°, β = 94.06°, γ = 90.00°
Space group Cm (No. 8)
Symmetry-distinct sites (fractional):
1 Sn 0.0000 0.0000 0.0000 (multiplicity 2)
2 Sn 0.0172 0.5000 0.2043 (multiplicity 2)
3 Sn 0.0850 0.2450 0.4906 (multiplicity 4)
4 Sn 0.3458 0.5000 0.7065 (multiplicity 2)
5 Pb 0.2479 0.2509 0.9761 (multiplicity 4)
6 Pb 0.3412 0.0000 0.4700 (multiplicity 2)
7 Cl 0.0062 0.0000 0.5902 (multiplicity 2)
8 Cl 0.1019 0.2695 0.0975 (multiplicity 4)
9 Cl 0.1292 0.0000 0.8717 (multiplicity 2)
10 Cl 0.1460 0.0000 0.3723 (multiplicity 2)
11 Cl 0.1473 0.5000 0.3520 (multiplicity 2)
12 Cl 0.1999 0.5000 0.8148 (multiplicity 2)
13 Cl 0.2740 0.2355 0.5952 (multiplicity 4)
14 Cl 0.3166 0.5000 0.1013 (multiplicity 2)
15 Cl 0.3225 0.0000 0.0995 (multiplicity 2)
16 Cl 0.4150 0.2867 0.8673 (multiplicity 4)
17 Cl 0.4500 0.2352 0.3486 (multiplicity 4)
18 Cl 0.4907 0.0000 0.5992 (multiplicity 2)

---

No. 3
This entry pairs a crystal structure of Sc4ZnSnO with its calculated powder diffraction line list. Radiation: Cu Kα. Structure: a DFT-relaxed cell (PBE, Alexandria).
Kinematic intensities with the Lorentz-polarization factor, no thermal factor.

Main lines, sorted by position (2θ from 5° to 70°):
- d = 4.124 Å, intensity 16.6, (1 1 1)
- d = 3.736 Å, intensity 12.6, (0 4 0)
- d = 3.251 Å, intensity 24.7, (1 3 1)
- d = 3.034 Å, intensity 51.1, (2 0 0)
- d = 2.811 Å, intensity 44.4, (2 2 0)
- d = 2.490 Å, intensity 28.9, (0 6 0)
- d = 2.452 Å, intensity 18.1, (1 5 1)
- d = 2.355 Å, intensity 100.0, (2 4 0)
- d = 2.145 Å, intensity 64.5, (2 0 2)
- d = 1.625 Å, intensity 28.6, (2 6 2)

Structural model:
a = 6.0616 Å, b = 14.9424 Å, c = 6.0743 Å
α = 90.00°, β = 90.00°, γ = 90.00°
Space group Cmcm (No. 63)
Symmetry-distinct sites (fractional):
1 Sc 0.0000 0.0771 0.2500 (multiplicity 4)
2 Sc 0.0000 0.4096 0.2500 (multiplicity 4)
3 Sc 0.2500 0.2500 0.0000 (multiplicity 8)
4 Zn 0.0000 0.1175 0.7500 (multiplicity 4)
5 Sn 0.0000 0.3942 0.7500 (multiplicity 4)
6 O 0.0000 0.2502 0.2500 (multiplicity 4)